Record 1
This entry pairs a crystal structure of FeTeAs with its computed X-ray diffraction stick pattern. Radiation: Cu Kα. Structure: a DFT-relaxed cell (PBE, the Materials Project).
Peak positions follow from Bragg's law for the DFT cell and can differ from measured ones.

Structure:
a = 6.2405 Å, b = 6.1219 Å, c = 6.2684 Å
α = 90.00°, β = 114.39°, γ = 90.00°
Fractional positions:
Fe 0.2157 0.0086 0.2070
Fe 0.2157 0.4914 0.7070
Fe 0.7843 0.5086 0.2930
Fe 0.7843 0.9914 0.7930
Te 0.3472 0.6299 0.1322
Te 0.3472 0.8701 0.6322
Te 0.6528 0.1299 0.3678
Te 0.6528 0.3701 0.8678
As 0.1430 0.1495 0.8379
As 0.1430 0.3505 0.3379
As 0.8570 0.6495 0.6621
As 0.8570 0.8505 0.1621

Peak list (10 most intense, 10 to 80 degrees two-theta, low angle first)
2θ/deg, I_rel
30.14, 22
31.48, 22
33.89, 100
34.67, 54
34.80, 55
46.05, 30
46.26, 31
52.33, 37
54.13, 18
65.34, 19

Record 2
This entry pairs a crystal structure of Sr2EuCu2Bi2O8 with its computed X-ray diffraction stick pattern. Radiation: Cu Kα. Structure: a DFT-relaxed cell (PBE, the Materials Project).
Peak positions follow from Bragg's law for the DFT cell and can differ from measured ones.

Structure:
a = 15.9164 Å, b = 15.9164 Å, c = 15.9164 Å
α = 166.30°, β = 166.30°, γ = 19.43°
Fractional positions:
Sr 0.1124 0.1124 0.0000
Sr 0.8876 0.8876 0.0000
Eu 0.0000 0.0000 0.0000
Cu 0.4465 0.4465 0.0000
Cu 0.5535 0.5535 0.0000
Bi 0.2973 0.2973 0.0000
Bi 0.7027 0.7027 0.0000
O 0.0526 0.5526 0.5000
O 0.2026 0.2026 0.0000
O 0.3642 0.3642 0.0000
O 0.4474 0.9474 0.5000
O 0.5526 0.0526 0.5000
O 0.6358 0.6358 0.0000
O 0.7974 0.7974 0.0000
O 0.9474 0.4474 0.5000

Peak list (10 most intense, 10 to 80 degrees two-theta, low angle first)
2θ/deg, I_rel
11.28, 19
24.94, 46
27.45, 49
28.45, 21
30.86, 100
33.36, 92
44.41, 50
47.90, 43
55.34, 18
58.08, 35

Record 3
This entry pairs a crystal structure of GdSn3 with its computed X-ray diffraction stick pattern. Radiation: Cu Kα. Structure: a DFT-relaxed cell (PBE, the Materials Project).
Peak positions follow from Bragg's law for the DFT cell and can differ from measured ones.

Structure:
a = 4.7430 Å, b = 4.7430 Å, c = 4.7430 Å
α = 90.00°, β = 90.00°, γ = 90.00°
Fractional positions:
Gd 0.0000 0.0000 0.0000
Sn 0.0000 0.5000 0.5000
Sn 0.5000 0.0000 0.5000
Sn 0.5000 0.5000 0.0000

Peak list (8 most intense, 10 to 80 degrees two-theta, low angle first)
2θ/deg, I_rel
18.71, 1
26.58, 1
32.70, 100
37.94, 50
42.62, 1
54.74, 36
65.24, 43
68.53, 12

Record 4
This entry pairs a crystal structure of LiNiP with its computed X-ray diffraction stick pattern. Radiation: Cu Kα. Structure: a DFT-relaxed cell (PBE, the Materials Project).
Peak positions follow from Bragg's law for the DFT cell and can differ from measured ones.

Structure:
a = 3.7374 Å, b = 3.7374 Å, c = 5.8004 Å
α = 90.00°, β = 90.00°, γ = 90.00°
Fractional positions:
Li 0.2500 0.2500 0.1630
Li 0.7500 0.7500 0.8370
Ni 0.2500 0.7500 0.5000
Ni 0.7500 0.2500 0.5000
P 0.2500 0.2500 0.7196
P 0.7500 0.7500 0.2804

Peak list (10 most intense, 10 to 80 degrees two-theta, low angle first)
2θ/deg, I_rel
15.28, 100
28.41, 13
33.92, 5
37.39, 35
46.49, 42
48.73, 20
51.37, 16
59.21, 12
71.38, 6
73.51, 5

Record 5
This entry pairs a crystal structure of Tb3SnC with its computed X-ray diffraction stick pattern. Radiation: Cu Kα. Structure: a DFT-relaxed cell (PBE, the Materials Project).
Peak positions follow from Bragg's law for the DFT cell and can differ from measured ones.

Structure:
a = 5.6307 Å, b = 5.6307 Å, c = 5.6307 Å
α = 90.00°, β = 90.00°, γ = 90.00°
Fractional positions:
Tb 0.0000 0.0000 0.5000
Tb 0.0000 0.5000 0.0000
Tb 0.5000 0.0000 0.0000
Sn 0.0000 0.0000 0.0000
C 0.5000 0.5000 0.5000

Peak list (10 most intense, 10 to 80 degrees two-theta, low angle first)
2θ/deg, I_rel
15.74, 100
27.44, 67
31.78, 96
35.65, 56
45.57, 71
48.50, 30
54.01, 30
56.63, 25
68.74, 17
75.51, 32

Record 6
This entry pairs a crystal structure of B4OsW with its computed X-ray diffraction stick pattern. Radiation: Cu Kα. Structure: a DFT-relaxed cell (PBE, the Materials Project).
Peak positions follow from Bragg's law for the DFT cell and can differ from measured ones.

Structure:
a = 2.9297 Å, b = 2.9297 Å, c = 7.5609 Å
α = 90.00°, β = 90.00°, γ = 120.00°
Fractional positions:
B 0.0000 0.0000 0.2014
B 0.0000 0.0000 0.7986
B 0.3333 0.6667 0.2924
B 0.3333 0.6667 0.7076
Os 0.3333 0.6667 0.0000
W 0.0000 0.0000 0.5000

Peak list (10 most intense, 10 to 80 degrees two-theta, low angle first)
2θ/deg, I_rel
23.53, 63
35.38, 24
37.39, 100
42.93, 21
48.14, 12
51.08, 48
63.51, 17
68.72, 21
72.81, 13
76.08, 13

Record 7
This entry pairs a crystal structure of IO6 with its computed X-ray diffraction stick pattern. Radiation: Cu Kα. Structure: a DFT-relaxed cell (PBE, the Materials Project).
Peak positions follow from Bragg's law for the DFT cell and can differ from measured ones.

Structure:
a = 5.0360 Å, b = 19.3299 Å, c = 5.6592 Å
α = 90.00°, β = 115.28°, γ = 90.00°
Fractional positions:
I 0.1395 0.1227 0.1773
I 0.1395 0.3773 0.6773
I 0.8605 0.6227 0.3227
I 0.8605 0.8773 0.8227
O 0.0826 0.0611 0.4090
O 0.0826 0.4389 0.9090
O 0.1411 0.6940 0.3702
O 0.1411 0.8060 0.8702
O 0.1977 0.5861 0.5966
O 0.1977 0.9139 0.0966
O 0.2165 0.1863 0.9600
O 0.2165 0.3137 0.4600
O 0.4243 0.0526 0.2241
O 0.4243 0.4474 0.7241
O 0.4788 0.1622 0.4456
O 0.4788 0.3378 0.9456
O 0.5212 0.6622 0.0544
O 0.5212 0.8378 0.5544
O 0.5757 0.5526 0.2759
O 0.5757 0.9474 0.7759
O 0.7835 0.6863 0.5400
O 0.7835 0.8137 0.0400
O 0.8023 0.0861 0.9034
O 0.8023 0.4139 0.4034
O 0.8589 0.1940 0.1298
O 0.8589 0.3060 0.6298
O 0.9174 0.5611 0.0910
O 0.9174 0.9389 0.5910

Peak list (10 most intense, 10 to 80 degrees two-theta, low angle first)
2θ/deg, I_rel
18.36, 65
19.49, 20
19.63, 100
20.03, 26
20.34, 59
23.93, 17
24.19, 33
30.53, 19
32.80, 25
42.35, 17

Please write out number 3 again, unchanged.
This entry pairs a crystal structure of GdSn3 with its computed X-ray diffraction stick pattern. Radiation: Cu Kα. Structure: a DFT-relaxed cell (PBE, the Materials Project).
Peak positions follow from Bragg's law for the DFT cell and can differ from measured ones.

Structure:
a = 4.7430 Å, b = 4.7430 Å, c = 4.7430 Å
α = 90.00°, β = 90.00°, γ = 90.00°
Fractional positions:
Gd 0.0000 0.0000 0.0000
Sn 0.0000 0.5000 0.5000
Sn 0.5000 0.0000 0.5000
Sn 0.5000 0.5000 0.0000

Peak list (8 most intense, 10 to 80 degrees two-theta, low angle first)
2θ/deg, I_rel
18.71, 1
26.58, 1
32.70, 100
37.94, 50
42.62, 1
54.74, 36
65.24, 43
68.53, 12